Theoretical powder diffractogram of Tl3PdBr4 for Cu Kα, from a cell relaxed with GGA-PBE.
Kinematic intensities with the Lorentz-polarization factor, no thermal factor.

Structure:
abc: 10.783 10.038 5.130
angles: 90.00 90.00 90.00
Space group Pmn2_1 (No. 31)
Inequivalent atoms, fractional coordinates:
Tl (0.000, 0.089, 0.000) x2
Tl (0.176, 0.643, 0.498) x4
Pd (0.000, 0.428, 0.498) x2
Br (0.000, 0.443, 0.998) x2
Br (0.000, 0.887, 0.500) x2
Br (0.193, 0.244, 0.498) x4

The 10 most intense peaks (10° ≤ 2θ ≤ 90°), low angle first:
2θ (°)  d [Å]  I/Imax
19.45  4.565  49
21.12  4.206  45
24.23  3.673  50
29.92  2.987  100
30.37  2.944  67
30.59  2.922  32
31.93  2.803  48
34.98  2.565  63
36.70  2.449  41
51.60  1.771  32